For Sr3V3Bi2O14, DFT lattice parameters and positions (PBE+U) gives the computed powder XRD pattern in this record (CuKα).

Largest 10 diffraction maxima, by intensity, 2θ = 10–80°:
d 3.314, intensity 100, hkl 2 0 0; d 3.275, intensity 63, hkl 1 0 -4; d 3.194, intensity 51, hkl 0 2 1; d 2.870, intensity 44, hkl -2 2 1; d 2.958, intensity 43, hkl 1 -2 3; d 2.855, intensity 35, hkl 1 0 4; d 5.613, intensity 29, hkl 1 0 1; d 6.406, intensity 26, hkl 1 0 -1; d 2.017, intensity 25, hkl 3 0 -4; d 6.850, intensity 24, hkl 0 0 2

Crystal structure
```
Sr3V3Bi2O14
1.0
7.1070 0.0000 0.0000
-2.3686 6.9603 0.0000
-1.6206 -2.4582 13.6998
Sr V Bi O
6 6 4 28
Direct
0.2363 0.3417 0.3184
0.2430 0.9072 0.0558
0.2599 0.8030 0.5478
0.7401 0.1970 0.4522
0.7570 0.0928 0.9442
0.7637 0.6583 0.6816
0.2327 0.8443 0.2909
0.2383 0.3840 0.0570
0.3043 0.3389 0.5820
0.6957 0.6611 0.4180
0.7617 0.6160 0.9430
0.7673 0.1557 0.7091
0.2538 0.6232 0.8147
0.2563 0.0909 0.8018
0.7437 0.9091 0.1982
0.7462 0.3768 0.1853
0.0184 0.3781 0.1014
0.0741 0.6180 0.3046
0.1003 0.9668 0.2230
0.1254 0.3263 0.4835
0.1492 0.7995 0.7206
0.1576 0.1768 0.9635
0.2184 0.1353 0.6397
0.3383 0.5934 0.0099
0.3489 0.9954 0.4004
0.3673 0.5641 0.6630
0.3767 0.9205 0.8967
0.3936 0.3387 0.1515
0.4065 0.8116 0.2169
0.4670 0.6529 0.4479
0.5330 0.3471 0.5521
0.5935 0.1884 0.7831
0.6064 0.6613 0.8485
0.6233 0.0795 0.1033
0.6327 0.4359 0.3370
0.6511 0.0046 0.5996
0.6617 0.4066 0.9901
0.7816 0.8647 0.3603
0.8424 0.8232 0.0365
0.8508 0.2005 0.2794
0.8746 0.6737 0.5165
0.8997 0.0332 0.7770
0.9259 0.3820 0.6954
0.9816 0.6219 0.8986
```